Theoretical powder XRD pattern
Compound: CeCd2
Radiation: Cu Kα, 1.54184 Å
Structure: a DFT-relaxed cell (GGA-PBE, the Materials Project)

Atomic structure:
```
data_CeCd2
_chemical_formula_sum 'Ce1 Cd2'
_space_group_name_H-M_alt 'P 6/m m m'
_space_group_IT_number 191
_space_group_name_Hall '-P 6 2'
_cell_length_a 5.1632
_cell_length_b 5.1632
_cell_length_c 3.3028
_cell_angle_alpha 90.00
_cell_angle_beta 90.00
_cell_angle_gamma 120.00
loop_
_atom_site_label
_atom_site_type_symbol
_atom_site_fract_x
_atom_site_fract_y
_atom_site_fract_z
_atom_site_occupancy
Ce1 Ce 0.0000 0.0000 0.0000 1
Cd1 Cd 0.3333 0.6667 0.5000 1
```

Largest 10 diffraction maxima, sorted by position, 2θ = 10–90°:
hkl 1 0 1, 33.74°, d 2.657, rel. 1000; hkl 1 1 0, 34.75°, d 2.582, rel. 974; hkl 2 0 1, 49.21°, d 1.851, rel. 339; hkl 0 0 2, 55.66°, d 1.651, rel. 81; hkl 2 1 1, 61.65°, d 1.505, rel. 339; hkl 3 0 0, 62.29°, d 1.490, rel. 171; hkl 1 1 2, 67.31°, d 1.391, rel. 270; hkl 2 2 0, 73.34°, d 1.291, rel. 105; hkl 3 1 1, 83.21°, d 1.161, rel. 145; hkl 3 0 2, 88.33°, d 1.106, rel. 133